1.
# NdGd2Cd3CuAu2
Computed powder XRD pattern, copper Kα. Input: a DFT-relaxed cell (PBE, OQMD).

Structural model:
```
NdGd2Cd3CuAu2
1.0
3.9265 0.0000 0.0000
0.0000 6.7666 3.8850
0.0000 -6.7666 3.8850
Nd Gd Cd Cu Au
1 2 3 1 2
Direct
0.0000 0.0000 0.0000
0.0000 0.1864 0.5931
0.0000 0.5931 0.1864
0.5000 0.3496 0.3496
0.5000 0.5908 0.8375
0.5000 0.8375 0.5908
0.0000 0.5915 0.5915
0.5000 0.2639 0.9254
0.5000 0.9254 0.2639
```

The 12 most intense peaks (10 to 90 degrees two-theta), in order of rising 2θ:
6.753 Å, I = 100; 2.765 Å, I = 1000; 2.558 Å, I = 939; 2.551 Å, I = 162; 2.544 Å, I = 157; 2.256 Å, I = 123; 2.246 Å, I = 242; 2.141 Å, I = 182; 1.963 Å, I = 219; 1.556 Å, I = 146; 1.478 Å, I = 157; 1.442 Å, I = 173

2.
# Y2HoCd3CuAu2
Computed powder XRD pattern, copper Kα. Input: a DFT-relaxed cell (PBE, OQMD).

Structural model:
```
Y2HoCd3CuAu2
1.0
3.8664 0.0000 0.0000
0.0000 6.6783 3.8660
0.0000 -6.6783 3.8660
Y Ho Cd Cu Au
2 1 3 1 2
Direct
0.0000 0.2033 0.7967
0.0000 0.7967 0.2033
0.0000 0.3902 0.3902
0.5000 0.0421 0.0421
0.5000 0.5507 0.7968
0.5000 0.7968 0.5507
0.0000 0.7956 0.7956
0.5000 0.1319 0.4626
0.5000 0.4626 0.1319
```

The 12 most intense peaks (10 to 90 degrees two-theta), in order of rising 2θ:
6.692 Å, I = 103; 3.864 Å, I = 204; 2.732 Å, I = 733; 2.528 Å, I = 1000; 2.229 Å, I = 314; 2.116 Å, I = 288; 1.933 Å, I = 232; 1.536 Å, I = 179; 1.460 Å, I = 229; 1.425 Å, I = 130; 1.366 Å, I = 129; 1.202 Å, I = 90

3.
# NdDyCd2Au4
Computed powder XRD pattern, copper Kα. Input: a DFT-relaxed cell (PBE, OQMD).

Structural model:
```
NdDyCd2Au4
1.0
4.9815 0.0000 0.0000
0.0000 4.9815 0.0000
0.0000 0.0000 7.0354
Nd Dy Cd Au
1 1 2 4
Direct
0.0000 0.0000 0.0000
0.5000 0.5000 0.5000
0.0000 0.0000 0.5000
0.5000 0.5000 0.0000
0.0000 0.5000 0.2606
0.0000 0.5000 0.7394
0.5000 0.0000 0.2606
0.5000 0.0000 0.7394
```

The 12 most intense peaks (10 to 90 degrees two-theta), in order of rising 2θ:
4.066 Å, I = 7; 3.521 Å, I = 44; 2.490 Å, I = 1000; 2.033 Å, I = 14; 1.760 Å, I = 176; 1.575 Å, I = 19; 1.437 Å, I = 357; 1.307 Å, I = 6; 1.245 Å, I = 111; 1.174 Å, I = 9; 1.114 Å, I = 112; 1.113 Å, I = 51

4.
# Pr2DyCd3Au3
Computed powder XRD pattern, copper Kα. Input: a DFT-relaxed cell (PBE, OQMD).

Structural model:
```
Pr2DyCd3Au3
1.0
4.0254 0.0000 0.0000
0.0000 6.8207 3.9620
0.0000 -6.8207 3.9620
Pr Dy Cd Au
2 1 3 3
Direct
0.0000 0.2023 0.7977
0.0000 0.7977 0.2023
0.0000 0.3922 0.3922
0.5000 0.0578 0.0578
0.5000 0.5384 0.7945
0.5000 0.7945 0.5384
0.0000 0.7944 0.7944
0.5000 0.1383 0.4622
0.5000 0.4622 0.1383
```

The 12 most intense peaks (10 to 90 degrees two-theta), in order of rising 2θ:
3.469 Å, I = 135; 2.819 Å, I = 772; 2.606 Å, I = 1000; 2.582 Å, I = 197; 2.284 Å, I = 358; 2.274 Å, I = 176; 2.180 Å, I = 156; 2.174 Å, I = 284; 2.013 Å, I = 256; 1.510 Å, I = 195; 1.466 Å, I = 128; 1.461 Å, I = 233

5.
# HoErCd2Au4
Computed powder XRD pattern, copper Kα. Input: a DFT-relaxed cell (PBE, OQMD).

Structural model:
```
HoErCd2Au4
1.0
4.9106 0.0000 0.0000
0.0000 4.9106 0.0000
0.0000 0.0000 6.9451
Ho Er Cd Au
1 1 2 4
Direct
0.0000 0.0000 0.0000
0.5000 0.5000 0.5000
0.0000 0.0000 0.5000
0.5000 0.5000 0.0000
0.0000 0.5000 0.2502
0.0000 0.5000 0.7498
0.5000 0.0000 0.2502
0.5000 0.0000 0.7498
```

The 11 most intense peaks (10 to 90 degrees two-theta), in order of rising 2θ:
4.010 Å, I = 12; 3.472 Å, I = 36; 2.455 Å, I = 1000; 2.094 Å, I = 7; 2.005 Å, I = 12; 1.736 Å, I = 176; 1.553 Å, I = 17; 1.418 Å, I = 361; 1.228 Å, I = 114; 1.157 Å, I = 9; 1.098 Å, I = 169

6.
# CdAu2F8
Computed powder XRD pattern, copper Kα. Input: a DFT-relaxed cell (PBE, OQMD).

Structural model:
```
CdAu2F8
1.0
5.4567 0.0000 0.0000
0.0000 5.4567 0.0000
0.0000 0.0000 10.1978
Cd Au F
2 4 16
Direct
0.0000 0.0000 0.2500
0.0000 0.0000 0.7500
0.0000 0.5000 0.0000
0.0000 0.5000 0.5000
0.5000 0.0000 0.0000
0.5000 0.0000 0.5000
0.1797 0.3160 0.1340
0.1797 0.3160 0.8660
0.1797 0.6840 0.3660
0.1797 0.6840 0.6340
0.3160 0.1797 0.3660
0.3160 0.1797 0.6340
0.3160 0.8203 0.1340
0.3160 0.8203 0.8660
0.6840 0.1797 0.1340
0.6840 0.1797 0.8660
0.6840 0.8203 0.3660
0.6840 0.8203 0.6340
0.8203 0.3160 0.3660
0.8203 0.3160 0.6340
0.8203 0.6840 0.1340
0.8203 0.6840 0.8660
```

The 12 most intense peaks (10 to 90 degrees two-theta), in order of rising 2θ:
5.457 Å, I = 109; 5.099 Å, I = 214; 3.858 Å, I = 321; 3.077 Å, I = 1000; 2.728 Å, I = 232; 2.406 Å, I = 172; 1.929 Å, I = 171; 1.863 Å, I = 338; 1.635 Å, I = 327; 1.555 Å, I = 139; 1.538 Å, I = 104; 1.211 Å, I = 136

7.
# CdAu2F12
Computed powder XRD pattern, copper Kα. Input: a DFT-relaxed cell (PBE, OQMD).

Structural model:
```
CdAu2F12
1.0
5.4253 -4.1587 0.0000
5.4253 4.1587 0.0000
-4.8160 0.0000 8.1227
Cd Au F
2 4 24
Direct
0.2436 0.7564 0.7500
0.7564 0.2436 0.2500
0.2307 0.2677 0.1433
0.2677 0.2307 0.6433
0.7323 0.7693 0.3567
0.7693 0.7323 0.8567
0.0285 0.7014 0.4904
0.0297 0.7086 0.0359
0.0867 0.1585 0.2317
0.1585 0.0867 0.7317
0.1904 0.5604 0.2796
0.2277 0.4936 0.8241
0.2914 0.9703 0.4641
0.2986 0.9715 0.0096
0.3576 0.4067 0.5690
0.4067 0.3576 0.0690
0.4396 0.8096 0.2204
0.4936 0.2277 0.3241
0.5064 0.7723 0.6759
0.5604 0.1904 0.7796
0.5933 0.6424 0.9310
0.6424 0.5933 0.4310
0.7014 0.0285 0.9904
0.7086 0.0297 0.5359
0.7723 0.5064 0.1759
0.8096 0.4396 0.7204
0.8415 0.9133 0.2683
0.9133 0.8415 0.7683
0.9703 0.2914 0.9641
0.9715 0.2986 0.5096
```

The 12 most intense peaks (10 to 90 degrees two-theta), in order of rising 2θ:
4.667 Å, I = 392; 4.282 Å, I = 150; 4.159 Å, I = 273; 4.094 Å, I = 1000; 3.200 Å, I = 578; 3.105 Å, I = 851; 2.969 Å, I = 472; 2.388 Å, I = 171; 2.096 Å, I = 189; 2.089 Å, I = 327; 1.929 Å, I = 184; 1.825 Å, I = 178

8.
# CdFe3Au
Computed powder XRD pattern, copper Kα. Input: a DFT-relaxed cell (PBE, OQMD).

Structural model:
```
CdFe3Au
1.0
5.0234 0.0000 0.0000
-2.5117 4.3504 0.0000
0.0000 0.0000 7.0876
Cd Fe Au
2 6 2
Direct
0.0000 0.0000 0.2062
0.0000 0.0000 0.7938
0.0000 0.4987 0.3389
0.0000 0.5013 0.6611
0.4987 0.0000 0.3389
0.4987 0.4987 0.6611
0.5013 0.0000 0.6611
0.5013 0.5013 0.3389
0.3333 0.6667 0.0000
0.6667 0.3333 0.0000
```

The 12 most intense peaks (10 to 90 degrees two-theta), in order of rising 2θ:
7.088 Å, I = 471; 2.748 Å, I = 540; 2.512 Å, I = 465; 2.367 Å, I = 1000; 2.175 Å, I = 171; 2.077 Å, I = 697; 1.854 Å, I = 430; 1.492 Å, I = 168; 1.448 Å, I = 211; 1.350 Å, I = 229; 1.256 Å, I = 182; 1.234 Å, I = 167